Theoretical XRD peak list
Compound: ZrPb
Radiation: CuKα
Structure: a cell relaxed with GGA-PBE

The 10 most intense peaks (2θ = 5–70°), in order of rising 2θ:
2θ (°)  d_spacing  Rel. int.
11.55  7.662  26
30.77  2.906  53
33.33  2.688  84
34.13  2.627  100
35.14  2.554  60
36.04  2.492  99
38.79  2.322  37
44.45  2.038  29
57.40  1.605  29
64.38  1.447  44

Structural model:
a = 11.547 Å, b = 3.436 Å, c = 8.149 Å
α = 90.00°, β = 109.90°, γ = 90.00°
Space group Cm (No. 8)
Inequivalent atoms, fractional coordinates:
1 Zr 0.000 0.000 0.000 x2
2 Zr 0.117 0.500 0.712 x2
3 Zr 0.338 0.000 0.654 x2
4 Pb 0.172 0.500 0.320 x2
5 Pb 0.277 0.000 0.010 x2
6 Pb 0.459 0.500 0.392 x2


Theoretical XRD peak list
Compound: Nd4Y4Er5
Radiation: CuKα
Structure: a cell relaxed with GGA-PBE

The 10 most intense peaks (2θ = 5–70°), in order of rising 2θ:
2θ (°)  d_spacing  Rel. int.
13.70  6.464  3
23.38  3.804  2
30.57  2.924  100
35.40  2.535  34
35.54  2.526  17
50.94  1.793  12
51.04  1.789  24
60.58  1.528  28
60.77  1.524  14
63.65  1.462  12

Structural model:
a = 12.928 Å, b = 12.928 Å, c = 5.052 Å
α = 90.00°, β = 90.00°, γ = 90.00°
Space group I4/m (No. 87)
Inequivalent atoms, fractional coordinates:
1 Nd 0.078 0.383 0.000 x8
2 Y 0.153 0.772 0.000 x8
3 Er 0.000 0.000 0.000 x2
4 Er 0.038 0.189 0.500 x8


Theoretical XRD peak list
Compound: CsCoAgBr5
Radiation: CuKα
Structure: a cell relaxed with GGA-PBE

The 10 most intense peaks (2θ = 5–70°), in order of rising 2θ:
2θ (°)  d_spacing  Rel. int.
18.59  4.773  100
20.19  4.398  71
22.20  4.005  50
25.57  3.484  95
27.40  3.255  91
28.81  3.099  57
29.18  3.061  53
29.54  3.024  42
35.36  2.539  71
45.85  1.979  46

Structural model:
a = 10.080 Å, b = 13.235 Å, c = 9.438 Å
α = 90.00°, β = 108.74°, γ = 90.00°
Space group C2/c (No. 15)
Inequivalent atoms, fractional coordinates:
1 Cs 0.000 0.147 0.250 x4
2 Co 0.000 0.196 0.750 x4
3 Ag 0.000 0.500 0.000 x4
4 Br 0.000 0.421 0.250 x4
5 Br 0.114 0.301 0.623 x8
6 Br 0.161 0.095 0.927 x8


Theoretical XRD peak list
Compound: La12HoCd6
Radiation: CuKα
Structure: a cell relaxed with GGA-PBE

The 10 most intense peaks (2θ = 5–70°), in order of rising 2θ:
2θ (°)  d_spacing  Rel. int.
23.79  3.739  21
31.16  2.870  61
31.82  2.812  63
32.15  2.784  100
33.36  2.686  70
33.82  2.650  61
48.70  1.870  19
54.54  1.682  15
55.28  1.662  16
59.46  1.555  23

Structural model:
a = 11.7990 Å, b = 11.7990 Å, c = 14.9533 Å
α = 90.00°, β = 90.00°, γ = 120.00°
Space group R-3 (No. 148, hexagonal axes)
Inequivalent atoms, fractional coordinates:
1 La 0.0423 0.8500 0.3009 x18
2 La 0.0593 0.2199 0.9054 x18
3 Ho 0.0000 0.0000 0.5000 x3
4 Cd 0.0418 0.5929 0.2074 x18


Theoretical XRD peak list
Compound: NdSm4In4
Radiation: CuKα
Structure: a cell relaxed with GGA-PBE

The 10 most intense peaks (2θ = 5–70°), in order of rising 2θ:
2θ (°)  d_spacing  Rel. int.
14.68  6.032  9
20.40  4.353  10
27.48  3.246  8
28.75  3.105  60
35.00  2.564  100
35.21  2.549  19
43.40  2.085  12
50.38  1.811  17
56.96  1.617  14
62.78  1.480  32

Structural model:
a = 7.245 Å, b = 7.245 Å, c = 10.892 Å
α = 90.00°, β = 90.00°, γ = 90.00°
Space group P4_2/nmc (No. 137, origin choice 2)
Inequivalent atoms, fractional coordinates:
1 Nd 0.250 0.750 0.250 x2
2 Sm 0.024 0.250 0.170 x8
3 In 0.026 0.250 0.469 x8


Theoretical XRD peak list
Compound: Cs2Ca3Cl8
Radiation: CuKα
Structure: a cell relaxed with GGA-PBE

The 10 most intense peaks (2θ = 5–70°), in order of rising 2θ:
2θ (°)  d_spacing  Rel. int.
16.25  5.456  48
18.90  4.695  100
20.64  4.303  92
23.98  3.711  63
30.32  2.948  39
30.80  2.903  60
31.62  2.829  39
36.58  2.457  46
39.44  2.285  33
43.32  2.089  50

Structural model:
a = 16.632 Å, b = 8.412 Å, c = 7.222 Å
α = 90.00°, β = 108.52°, γ = 90.00°
Space group C2/m (No. 12)
Inequivalent atoms, fractional coordinates:
1 Cs 0.229 0.000 0.172 x4
2 Ca 0.000 0.242 0.500 x4
3 Ca 0.000 0.500 0.000 x2
4 Cl 0.091 0.500 0.399 x4
5 Cl 0.096 0.278 0.886 x8
6 Cl 0.104 0.000 0.469 x4


Theoretical XRD peak list
Compound: Ta4V
Radiation: CuKα
Structure: a cell relaxed with GGA-PBE

The 10 most intense peaks (2θ = 5–70°), in order of rising 2θ:
2θ (°)  d_spacing  Rel. int.
31.98  2.798  55
37.23  2.415  22
37.61  2.392  100
43.92  2.062  24
45.86  1.979  22
60.48  1.531  16
60.75  1.525  26
61.81  1.501  6
62.83  1.479  7
65.37  1.428  10

Structural model:
a = 7.915 Å, b = 7.915 Å, c = 6.004 Å
α = 90.00°, β = 90.00°, γ = 90.00°
Space group I4_1/amd (No. 141, origin choice 2)
Inequivalent atoms, fractional coordinates:
1 Ta 0.000 0.043 0.245 x16
2 V 0.000 0.250 0.875 x4